For K4LiHg4, a PBE-relaxed structure gives the theoretical powder X-ray diffraction pattern in this record (copper Kα).
Peak positions follow from Bragg's law for the DFT cell and can differ from measured ones.

Main lines, low angle first (5° ≤ 2θ ≤ 70°):
- d 8.717, rel. 100
- d 3.992, rel. 16
- d 3.176, rel. 45
- d 3.128, rel. 77
- d 2.984, rel. 27
- d 2.440, rel. 37
- d 2.246, rel. 15
- d 2.176, rel. 14
- d 1.824, rel. 22
- d 1.652, rel. 15

Crystal structure
a b c (Å): 9.806 9.806 9.806
angles (deg): 142.20 142.20 54.52
Fractional positions:
K 0.104 0.104 0.521
K 0.416 0.896 0.000
K 0.584 0.584 0.479
K 0.896 0.416 0.000
Li 0.500 0.500 0.000
Hg 0.165 0.738 0.000
Hg 0.262 0.262 0.427
Hg 0.738 0.165 0.000
Hg 0.835 0.835 0.573